No. 1
MgPa3Te6: theoretical powder X-ray diffraction pattern (CuKα), based on DFT lattice parameters and positions (GGA-PBE).
No peak broadening, texture or thermal motion is included.

Cell and atoms:
```
data_MgPa3Te6
_chemical_formula_sum 'Mg4 Pa12 Te24'
_cell_length_a 12.095
_cell_length_b 14.645
_cell_length_c 7.391
_cell_angle_alpha 90.00
_cell_angle_beta 90.00
_cell_angle_gamma 90.00
_symmetry_space_group_name_H-M 'C m c 21'
_symmetry_Int_Tables_number 36
_symmetry_space_group_name_Hall 'C 2c -2'
loop_
_atom_site_label
_atom_site_type_symbol
_atom_site_fract_x
_atom_site_fract_y
_atom_site_fract_z
_atom_site_occupancy
Mg1 Mg 0.000 0.215 0.000 1
Pa1 Pa 0.000 0.409 0.646 1
Pa2 Pa 0.172 0.094 0.535 1
Te1 Te 0.000 0.037 0.841 1
Te2 Te 0.000 0.231 0.374 1
Te3 Te 0.166 0.456 0.342 1
Te4 Te 0.182 0.275 0.795 1
```

Principal peaks in the range 2θ = 15–90°, low angle first:
2θ/deg  d [Å]  I (rel.)  index
15.30  5.792  54.6  1 1 1
22.55  3.944  53.4  2 2 1
23.04  3.860  43.9  1 3 1
31.21  2.865  100.0  3 3 1
33.46  2.678  88.1  3 1 2
34.48  2.601  39.4  0 4 2
37.97  2.370  46.3  3 5 0
44.97  2.016  27.0  6 0 0

=====

No. 2
Ce2Ge7Au12: theoretical powder X-ray diffraction pattern (CuKα), based on DFT lattice parameters and positions (GGA-PBE).
No peak broadening, texture or thermal motion is included.

Cell and atoms:
```
data_Ce2Ge7Au12
_chemical_formula_sum 'Ce2 Ge7 Au12'
_cell_length_a 10.1699
_cell_length_b 10.1699
_cell_length_c 4.7432
_cell_angle_alpha 90.00
_cell_angle_beta 90.00
_cell_angle_gamma 120.00
_symmetry_space_group_name_H-M 'P -3'
_symmetry_Int_Tables_number 147
_symmetry_space_group_name_Hall '-P 3'
loop_
_atom_site_label
_atom_site_type_symbol
_atom_site_fract_x
_atom_site_fract_y
_atom_site_fract_z
_atom_site_occupancy
Ce1 Ce 0.3333 0.6667 0.2282 1
Ge1 Ge 0.0000 0.0000 0.5000 1
Ge2 Ge 0.1121 0.7236 0.6650 1
Au1 Au 0.0687 0.4596 0.7769 1
Au2 Au 0.1257 0.2645 0.1773 1
```

Principal peaks in the range 2θ = 15–90°, low angle first:
2θ/deg  d [Å]  I (rel.)  index
32.87  2.725  100.0  2 1 1
35.30  2.542  9.8  2 2 0
37.94  2.372  14.6  0 0 2
41.59  2.172  16.4  1 3 1
44.86  2.021  13.9  3 2 0
47.05  1.932  14.1  3 -2 2
47.30  1.922  14.5  1 4 0
78.68  1.216  9.4  5 3 1

=====

No. 3
RbZr4Br7: theoretical powder X-ray diffraction pattern (CuKα), based on DFT lattice parameters and positions (GGA-PBE).
No peak broadening, texture or thermal motion is included.

Cell and atoms:
```
data_RbZr4Br7
_chemical_formula_sum 'Rb2 Zr8 Br14'
_cell_length_a 5.354
_cell_length_b 20.814
_cell_length_c 5.727
_cell_angle_alpha 90.00
_cell_angle_beta 90.00
_cell_angle_gamma 90.00
_symmetry_space_group_name_H-M 'P m m n'
_symmetry_Int_Tables_number 59
loop_
_symmetry_equiv_pos_as_xyz
'x,y,z'
'-x,-y,-z'
'-x+1/2,-y+1/2,z'
'x+1/2,y+1/2,-z'
'x+1/2,-y,-z'
'-x+1/2,y,z'
'-x,y+1/2,-z'
'x,-y+1/2,z'
loop_
_atom_site_label
_atom_site_type_symbol
_atom_site_fract_x
_atom_site_fract_y
_atom_site_fract_z
_atom_site_occupancy
Rb1 Rb 0.250 0.250 0.181 1
Zr1 Zr 0.250 0.006 0.664 1
Zr2 Zr 0.250 0.604 0.313 1
Br1 Br 0.250 0.023 0.166 1
Br2 Br 0.250 0.139 0.677 1
Br3 Br 0.250 0.629 0.796 1
Br4 Br 0.250 0.750 0.288 1
```

Principal peaks in the range 2θ = 15–90°, low angle first:
2θ/deg  d [Å]  I (rel.)  index
28.55  3.126  26.4  1 4 1
31.24  2.863  32.6  0 0 2
33.47  2.677  65.4  2 0 0
34.52  2.598  100.0  0 8 0
39.68  2.272  23.3  1 4 2
46.43  1.956  21.7  2 0 2
47.21  1.925  20.5  0 8 2
48.81  1.866  25.8  2 8 0